This entry pairs a crystal structure of LiCrP3O9 with its computed X-ray diffraction stick pattern. Radiation: CuKα. Structure: a GGA+U-relaxed structure.

```
data_LiCrP3O9
_cell_length_a 11.5057
_cell_length_b 6.7055
_cell_length_c 9.8747
_cell_angle_alpha 90.00
_cell_angle_beta 91.76
_cell_angle_gamma 90.00
_space_group_name_H-M_alt 'C 1 c 1'
_space_group_IT_number 9
loop_
_space_group_symop_operation_xyz
'x,y,z'
'x,-y,z+1/2'
'x+1/2,y+1/2,z'
'x+1/2,-y+1/2,z+1/2'
loop_
_atom_site_label
_atom_site_type_symbol
_atom_site_fract_x
_atom_site_fract_y
_atom_site_fract_z
Li1 Li 0.0000 0.1388 0.0000
Cr1 Cr 0.3241 0.0013 0.4630
P1 P 0.0247 0.3758 0.7135
P2 P 0.1761 0.2663 0.2197
P3 P 0.2794 0.3294 0.7048
O1 O 0.0647 0.4003 0.2541
O2 O 0.1455 0.2722 0.6724
O3 O 0.1550 0.1651 0.0854
O4 O 0.2013 0.1391 0.3413
O5 O 0.2779 0.4316 0.2063
O6 O 0.3199 0.2539 0.8407
O7 O 0.3472 0.2671 0.5824
O8 O 0.4495 0.1269 0.0873
O9 O 0.4785 0.2145 0.3392
```

Most intense lines, 2θ from 10° to 90°, in order of falling intensity:
2θ = 15.3°, I 100
2θ = 28.1°, I 84
2θ = 23.9°, I 75
2θ = 23.5°, I 69
2θ = 18.0°, I 58
2θ = 32.0°, I 50